Entry 1:
Structure and computed powder diffraction line list of LaY2ThSc4 (a GGA-PBE-relaxed structure; Cu Kα).

Crystal structure
abc: 5.087 5.087 8.901
angles: 90.00 90.00 90.00
Space group P4/mmm (No. 123)
One atom of each set of equivalent atoms:
La 0.000 0.000 0.000
Y 0.000 0.000 0.500
Y 0.500 0.500 0.000
Th 0.500 0.500 0.500
Sc 0.000 0.500 0.255

Most intense lines, 2θ from 15° to 90°, sorted by position:
- 2θ 19.95, I = 20, (0 0 2)
- 2θ 20.10, I = 18, (1 0 1)
- 2θ 24.75, I = 24, (1 1 0)
- 2θ 31.99, I = 100, (1 1 2)
- 2θ 35.29, I = 38, (2 0 0)
- 2θ 40.89, I = 20, (2 0 2)
- 2θ 54.81, I = 21, (2 0 4)
- 2θ 61.27, I = 30, (3 1 2)


Entry 2:
Structure and computed powder diffraction line list of NdTh2PdRh5 (a GGA-PBE-relaxed structure; Cu Kα).

Crystal structure
abc: 8.386 8.386 10.908
angles: 90.00 90.00 90.00
Space group I4/mcm (No. 140)
One atom of each set of equivalent atoms:
Nd 0.000 0.000 0.250
Th 0.140 0.360 0.000
Pd 0.000 0.500 0.250
Rh 0.000 0.000 0.000
Rh 0.187 0.313 0.366

Most intense lines, 2θ from 15° to 90°, sorted by position:
- 2θ 30.14, I = 37, (2 2 0)
- 2θ 33.80, I = 47, (3 1 0)
- 2θ 34.36, I = 100, (2 1 3)
- 2θ 37.72, I = 22, (3 1 2)
- 2θ 39.42, I = 34, (2 0 4)
- 2θ 46.40, I = 23, (4 0 2)
- 2θ 48.26, I = 27, (2 1 5)
- 2θ 51.48, I = 19, (4 1 3)